ErMg16Al12: theoretical powder diffractogram (Cu Kα X-rays), based on a structure optimized by DFT (PBE).
No peak broadening, texture or thermal motion is included.

The 6 most intense peaks (10° ≤ 2θ ≤ 90°), in order of rising 2θ:
2θ 11.88, I 47; 2θ 20.64, I 22; 2θ 31.77, I 24; 2θ 36.16, I 100; 2θ 40.13, I 20; 2θ 65.03, I 29

Structural model:
```
ErMg16Al12
1.0
-5.270 5.270 5.270
5.270 -5.270 5.270
5.270 5.270 -5.270
Er Mg Al
1 16 12
Direct
0.000 0.000 0.000
0.000 0.000 0.357
0.000 0.319 0.603
0.000 0.357 0.000
0.000 0.603 0.319
0.284 0.681 0.681
0.319 0.000 0.603
0.319 0.603 0.000
0.357 0.000 0.000
0.397 0.397 0.716
0.397 0.716 0.397
0.603 0.000 0.319
0.603 0.319 0.000
0.643 0.643 0.643
0.681 0.284 0.681
0.681 0.681 0.284
0.716 0.397 0.397
0.000 0.632 0.814
0.000 0.814 0.632
0.182 0.368 0.368
0.186 0.186 0.818
0.186 0.818 0.186
0.368 0.182 0.368
0.368 0.368 0.182
0.632 0.000 0.814
0.632 0.814 0.000
0.814 0.000 0.632
0.814 0.632 0.000
0.818 0.186 0.186
```

=====

Mg14CrGa: theoretical powder diffractogram (Cu Kα X-rays), based on a structure optimized by DFT (PBE).
No peak broadening, texture or thermal motion is included.

The 6 most intense peaks (10° ≤ 2θ ≤ 90°), in order of rising 2θ:
2θ 33.04, I 25; 2θ 34.89, I 27; 2θ 37.50, I 100; 2θ 59.00, I 17; 2θ 64.28, I 19; 2θ 70.41, I 19

Structural model:
```
Mg14CrGa
1.0
6.262 0.000 0.000
-3.131 5.423 0.000
0.000 0.000 10.287
Mg Cr Ga
14 1 1
Direct
0.000 0.000 0.250
0.000 0.000 0.750
0.004 0.502 0.249
0.004 0.502 0.751
0.333 0.166 0.500
0.334 0.167 0.000
0.498 0.502 0.249
0.498 0.502 0.751
0.498 0.996 0.249
0.498 0.996 0.751
0.833 0.167 0.000
0.833 0.666 0.000
0.834 0.166 0.500
0.834 0.667 0.500
0.333 0.667 0.000
0.333 0.667 0.500
```

=====

BaH4O6: theoretical powder diffractogram (Cu Kα X-rays), based on a structure optimized by DFT (PBE).
No peak broadening, texture or thermal motion is included.

The 6 most intense peaks (10° ≤ 2θ ≤ 90°), in order of rising 2θ:
2θ 19.71, I 100; 2θ 21.02, I 45; 2θ 21.17, I 53; 2θ 35.19, I 33; 2θ 35.50, I 90; 2θ 37.78, I 41

Structural model:
```
BaH4O6
1.0
4.264 -3.182 0.000
4.264 3.182 0.000
-1.114 0.000 8.345
Ba H O
2 8 12
Direct
0.205 0.795 0.750
0.795 0.205 0.250
0.185 0.634 0.373
0.270 0.326 0.046
0.326 0.270 0.546
0.366 0.815 0.127
0.634 0.185 0.873
0.674 0.730 0.454
0.730 0.674 0.954
0.815 0.366 0.627
0.013 0.336 0.677
0.165 0.188 0.542
0.188 0.165 0.042
0.336 0.013 0.177
0.391 0.546 0.055
0.454 0.609 0.445
0.546 0.391 0.555
0.609 0.454 0.945
0.664 0.987 0.823
0.812 0.835 0.958
0.835 0.812 0.458
0.987 0.664 0.323
```